1.
CuAg7: computed PXRD pattern (Cu Kα, 1.54184 Å), based on DFT lattice parameters and positions (GGA-PBE).
Kinematic intensities with the Lorentz-polarization factor, no thermal factor.

Top 8 peaks for 10 to 90 degrees two-theta, low angle first:
Position (°2θ)  I_rel  h k l
37.9  341  2 0 2
38.1  1000  3 1 -1
44.2  644  5 1 1
64.2  199  1 1 -3
64.5  193  0 2 0
77.0  116  7 1 3
77.3  226  2 2 2
77.4  111  8 2 0

Cell and atoms:
a b c (Å): 18.966 2.889 5.032
angles (deg): 90.00 94.88 90.00
Space group C2/m (No. 12)
Inequivalent atoms, fractional coordinates:
Cu: 0.000 0.000 0.000 [2 per cell]
Ag: 0.000 0.500 0.500 [2 per cell]
Ag: 0.120 0.500 0.878 [4 per cell]
Ag: 0.123 0.000 0.371 [4 per cell]
Ag: 0.249 0.000 0.751 [4 per cell]

---

2.
Cu3Ag5: computed PXRD pattern (Cu Kα, 1.54184 Å), based on DFT lattice parameters and positions (GGA-PBE).
Kinematic intensities with the Lorentz-polarization factor, no thermal factor.

Top 8 peaks for 10 to 90 degrees two-theta, low angle first:
Position (°2θ)  I_rel  h k l
39.2  974  0 4 2
39.4  1000  1 4 0
44.7  673  1 0 2
47.6  269  0 8 0
67.4  343  1 8 2
78.6  207  1 4 4
78.8  228  2 4 2
83.0  177  1 12 0

Cell and atoms:
a b c (Å): 2.861 15.276 5.752
angles (deg): 90.00 90.00 90.00
Space group Amm2 (No. 38)
Inequivalent atoms, fractional coordinates:
Cu: 0.000 0.000 0.000 [2 per cell]
Cu: 0.500 0.123 0.781 [4 per cell]
Ag: 0.000 0.000 0.546 [2 per cell]
Ag: 0.000 0.246 0.519 [4 per cell]
Ag: 0.500 0.116 0.255 [4 per cell]

---

3.
Cu4Ag5: computed PXRD pattern (Cu Kα, 1.54184 Å), based on DFT lattice parameters and positions (GGA-PBE).
Kinematic intensities with the Lorentz-polarization factor, no thermal factor.

Top 8 peaks for 10 to 90 degrees two-theta, low angle first:
Position (°2θ)  I_rel  h k l
39.4  494  4 0 -3
39.5  496  2 0 3
39.9  1000  3 1 0
45.2  669  1 1 -3
48.0  276  6 0 0
68.0  172  7 1 -3
68.1  175  5 1 3
80.1  225  2 2 3

Cell and atoms:
a b c (Å): 11.736 2.814 8.575
angles (deg): 90.00 104.25 90.00
Space group Cm (No. 8)
Inequivalent atoms, fractional coordinates:
Cu: 0.000 0.000 0.000 [2 per cell]
Cu: 0.004 0.000 0.348 [2 per cell]
Cu: 0.173 0.500 0.543 [2 per cell]
Cu: 0.333 0.000 0.442 [2 per cell]
Ag: 0.005 0.000 0.650 [2 per cell]
Ag: 0.161 0.500 0.229 [2 per cell]
Ag: 0.164 0.500 0.896 [2 per cell]
Ag: 0.335 0.000 0.773 [2 per cell]
Ag: 0.348 0.000 0.126 [2 per cell]

---

4.
Cu5Ag3: computed PXRD pattern (Cu Kα, 1.54184 Å), based on DFT lattice parameters and positions (GGA-PBE).
Kinematic intensities with the Lorentz-polarization factor, no thermal factor.

Top 8 peaks for 10 to 90 degrees two-theta, low angle first:
Position (°2θ)  I_rel  h k l
40.3  506  2 0 2
40.5  1000  3 1 -1
41.4  457  8 0 0
47.2  304  6 0 -2
47.3  627  5 1 1
68.3  197  1 1 -3
69.9  168  11 1 -1
83.1  208  7 1 3

Cell and atoms:
a b c (Å): 17.525 2.733 4.765
angles (deg): 90.00 95.16 90.00
Space group C2/m (No. 12)
Inequivalent atoms, fractional coordinates:
Cu: 0.000 0.000 0.000 [2 per cell]
Cu: 0.119 0.500 0.889 [4 per cell]
Cu: 0.123 0.000 0.360 [4 per cell]
Ag: 0.000 0.500 0.500 [2 per cell]
Ag: 0.246 0.000 0.749 [4 per cell]

---

5.
Cu29Ag11: computed PXRD pattern (Cu Kα, 1.54184 Å), based on DFT lattice parameters and positions (GGA-PBE).
Kinematic intensities with the Lorentz-polarization factor, no thermal factor.

Top 8 peaks for 10 to 90 degrees two-theta, low angle first:
Position (°2θ)  I_rel  h k l
41.5  1000  2 2 -1
41.6  965  0 4 3
47.9  319  2 2 4
48.1  311  -2 2 4
48.9  287  0 4 -2
70.9  170  2 6 2
84.7  108  4 4 3
86.4  139  2 6 -3

Cell and atoms:
a b c (Å): 5.373 9.172 11.321
angles (deg): 73.44 89.69 89.84
Space group P1 (No. 1)
Inequivalent atoms, fractional coordinates:
Cu: 0.000 0.000 0.000 [1 per cell]
Cu: 0.000 0.092 0.203 [1 per cell]
Cu: 0.001 0.406 0.812 [1 per cell]
Cu: 0.003 0.906 0.798 [1 per cell]
Cu: 0.006 0.206 0.401 [1 per cell]
Cu: 0.006 0.817 0.605 [1 per cell]
Cu: 0.007 0.517 0.989 [1 per cell]
Cu: 0.254 0.669 0.798 [1 per cell]
Cu: 0.261 0.773 0.988 [1 per cell]
Cu: 0.265 0.868 0.184 [1 per cell]
Cu: 0.266 0.342 0.213 [1 per cell]
Cu: 0.267 0.049 0.605 [1 per cell]
Cu: 0.269 0.447 0.396 [1 per cell]
Cu: 0.512 0.298 0.598 [1 per cell]
Cu: 0.514 0.614 0.193 [1 per cell]
Cu: 0.515 0.815 0.606 [1 per cell]
Cu: 0.516 0.207 0.409 [1 per cell]
Cu: 0.519 0.903 0.799 [1 per cell]
Cu: 0.520 0.096 0.201 [1 per cell]
Cu: 0.520 0.400 0.807 [1 per cell]
Cu: 0.522 0.001 0.000 [1 per cell]
Cu: 0.752 0.450 0.397 [1 per cell]
Cu: 0.754 0.051 0.603 [1 per cell]
Cu: 0.758 0.244 0.998 [1 per cell]
Cu: 0.758 0.864 0.188 [1 per cell]
Cu: 0.760 0.150 0.804 [1 per cell]
Cu: 0.760 0.967 0.403 [1 per cell]
Cu: 0.762 0.766 0.992 [1 per cell]
Cu: 0.766 0.666 0.799 [1 per cell]
Ag: 0.006 0.298 0.597 [1 per cell]
Ag: 0.008 0.712 0.394 [1 per cell]
Ag: 0.021 0.609 0.189 [1 per cell]
Ag: 0.253 0.250 0.012 [1 per cell]
Ag: 0.262 0.555 0.610 [1 per cell]
Ag: 0.263 0.968 0.401 [1 per cell]
Ag: 0.265 0.150 0.804 [1 per cell]
Ag: 0.505 0.517 0.996 [1 per cell]
Ag: 0.511 0.710 0.389 [1 per cell]
Ag: 0.758 0.557 0.608 [1 per cell]
Ag: 0.763 0.346 0.198 [1 per cell]

---

6.
Cu4Ag5: computed PXRD pattern (Cu Kα, 1.54184 Å), based on DFT lattice parameters and positions (GGA-PBE).
Kinematic intensities with the Lorentz-polarization factor, no thermal factor.

Top 8 peaks for 10 to 90 degrees two-theta, low angle first:
Position (°2θ)  I_rel  h k l
39.3  498  4 0 -3
39.6  491  2 0 3
39.8  1000  3 1 0
45.2  671  1 1 -3
47.7  270  6 0 0
67.6  170  7 1 -3
68.0  168  5 1 3
83.5  130  9 1 0

Cell and atoms:
a b c (Å): 11.813 2.818 8.565
angles (deg): 90.00 104.46 90.00
Space group C2/m (No. 12)
Inequivalent atoms, fractional coordinates:
Cu: 0.170 0.000 0.238 [4 per cell]
Cu: 0.180 0.000 0.557 [4 per cell]
Ag: 0.000 0.500 0.000 [2 per cell]
Ag: 0.010 0.500 0.344 [4 per cell]
Ag: 0.172 0.000 0.876 [4 per cell]

---

7.
Cu5Ag3: computed PXRD pattern (Cu Kα, 1.54184 Å), based on DFT lattice parameters and positions (GGA-PBE).
Kinematic intensities with the Lorentz-polarization factor, no thermal factor.

Top 8 peaks for 10 to 90 degrees two-theta, low angle first:
Position (°2θ)  I_rel  h k l
40.4  1000  0 1 8
41.3  284  0 0 24
47.2  601  1 0 16
68.4  193  1 1 0
69.6  151  0 1 32
82.5  111  2 0 8
83.1  199  1 1 24
87.3  94  0 2 16

Cell and atoms:
a b c (Å): 2.7435 2.7435 52.4993
angles (deg): 90.00 90.00 120.00
Space group R-3m (No. 166, hexagonal axes)
Inequivalent atoms, fractional coordinates:
Cu: 0.0000 0.0000 0.0000 [3 per cell]
Cu: 0.0000 0.0000 0.1239 [6 per cell]
Cu: 0.0000 0.0000 0.3713 [6 per cell]
Ag: 0.0000 0.0000 0.2521 [6 per cell]
Ag: 0.0000 0.0000 0.5000 [3 per cell]

---

8.
Cu3Ag2: computed PXRD pattern (Cu Kα, 1.54184 Å), based on DFT lattice parameters and positions (GGA-PBE).
Kinematic intensities with the Lorentz-polarization factor, no thermal factor.

Top 8 peaks for 10 to 90 degrees two-theta, low angle first:
Position (°2θ)  I_rel  h k l
32.7  100  0 0 12
40.3  1000  0 1 5
41.2  250  0 0 15
47.1  574  1 0 10
68.2  196  1 1 0
69.5  117  0 1 20
82.2  111  2 0 5
82.8  175  1 1 15

Cell and atoms:
a b c (Å): 2.7514 2.7514 32.8811
angles (deg): 90.00 90.00 120.00
Space group R-3m (No. 166, hexagonal axes)
Inequivalent atoms, fractional coordinates:
Cu: 0.0000 0.0000 0.0000 [3 per cell]
Cu: 0.0000 0.0000 0.3933 [6 per cell]
Ag: 0.0000 0.0000 0.2050 [6 per cell]

---

9.
Cu17Ag3: computed PXRD pattern (Cu Kα, 1.54184 Å), based on DFT lattice parameters and positions (GGA-PBE).
Kinematic intensities with the Lorentz-polarization factor, no thermal factor.

Top 8 peaks for 10 to 90 degrees two-theta, low angle first:
Position (°2θ)  I_rel  h k l
42.3  1000  1 -1 3
42.4  503  1 2 1
42.5  494  2 -3 0
49.1  322  0 3 -2
49.3  304  -1 2 3
49.7  308  3 -1 1
72.3  178  3 2 -1
72.6  260  3 -4 3

Cell and atoms:
a b c (Å): 5.808 6.906 6.938
angles (deg): 94.25 90.34 114.68
Space group P1 (No. 1)
Inequivalent atoms, fractional coordinates:
Cu: 0.000 0.000 0.000 [1 per cell]
Cu: 0.031 0.690 0.573 [1 per cell]
Cu: 0.089 0.389 0.101 [1 per cell]
Cu: 0.141 0.112 0.670 [1 per cell]
Cu: 0.198 0.791 0.192 [1 per cell]
Cu: 0.240 0.500 0.768 [1 per cell]
Cu: 0.303 0.200 0.291 [1 per cell]
Cu: 0.341 0.897 0.863 [1 per cell]
Cu: 0.447 0.300 0.957 [1 per cell]
Cu: 0.545 0.694 0.050 [1 per cell]
Cu: 0.599 0.406 0.621 [1 per cell]
Cu: 0.645 0.097 0.146 [1 per cell]
Cu: 0.699 0.801 0.723 [1 per cell]
Cu: 0.754 0.487 0.254 [1 per cell]
Cu: 0.797 0.203 0.814 [1 per cell]
Cu: 0.893 0.597 0.913 [1 per cell]
Cu: 0.940 0.302 0.463 [1 per cell]
Ag: 0.388 0.587 0.408 [1 per cell]
Ag: 0.483 0.005 0.511 [1 per cell]
Ag: 0.862 0.901 0.356 [1 per cell]

---

10.
Cu3Ag5: computed PXRD pattern (Cu Kα, 1.54184 Å), based on DFT lattice parameters and positions (GGA-PBE).
Kinematic intensities with the Lorentz-polarization factor, no thermal factor.

Top 8 peaks for 10 to 90 degrees two-theta, low angle first:
Position (°2θ)  I_rel  h k l
39.0  344  2 0 2
39.3  1000  3 1 -1
45.4  438  5 1 1
46.2  204  6 0 -2
66.6  130  1 1 -3
66.9  122  11 1 -1
79.7  150  2 2 2
84.6  96  6 2 -2

Cell and atoms:
a b c (Å): 18.373 2.818 4.863
angles (deg): 90.00 93.85 90.00
Space group C2/m (No. 12)
Inequivalent atoms, fractional coordinates:
Cu: 0.000 0.000 0.000 [2 per cell]
Cu: 0.122 0.000 0.374 [4 per cell]
Ag: 0.000 0.500 0.500 [2 per cell]
Ag: 0.121 0.500 0.881 [4 per cell]
Ag: 0.247 0.500 0.253 [4 per cell]

---

11.
Cu3Ag7: computed PXRD pattern (Cu Kα, 1.54184 Å), based on DFT lattice parameters and positions (GGA-PBE).
Kinematic intensities with the Lorentz-polarization factor, no thermal factor.

Top 8 peaks for 10 to 90 degrees two-theta, low angle first:
Position (°2θ)  I_rel  h k l
38.6  1000  1 -2 0
38.7  496  0 1 -3
39.1  481  2 0 -2
45.0  633  2 -1 1
45.1  313  1 2 -2
65.3  293  1 -3 3
78.5  113  2 -2 4
78.6  113  3 -3 1

Cell and atoms:
a b c (Å): 4.900 4.951 7.514
angles (deg): 102.52 108.48 99.90
Space group P-1 (No. 2)
Inequivalent atoms, fractional coordinates:
Cu: 0.000 0.000 0.000 [1 per cell]
Cu: 0.400 0.200 0.400 [2 per cell]
Ag: 0.000 0.500 0.500 [1 per cell]
Ag: 0.196 0.092 0.697 [2 per cell]
Ag: 0.205 0.604 0.205 [2 per cell]
Ag: 0.408 0.707 0.899 [2 per cell]

---

12.
Cu3Ag2: computed PXRD pattern (Cu Kα, 1.54184 Å), based on DFT lattice parameters and positions (GGA-PBE).
Kinematic intensities with the Lorentz-polarization factor, no thermal factor.

Top 8 peaks for 10 to 90 degrees two-theta, low angle first:
Position (°2θ)  I_rel  h k l
32.6  119  0 0 4
40.2  1000  1 1 -2
40.4  497  2 0 1
41.1  398  0 0 5
46.8  601  1 1 3
47.7  276  2 0 -4
68.5  189  3 1 -1
69.5  127  1 1 -7

Cell and atoms:
a b c (Å): 4.728 2.771 11.077
angles (deg): 90.00 97.38 90.00
Space group P2/m (No. 10)
Inequivalent atoms, fractional coordinates:
Cu: 0.094 0.000 0.282 [2 per cell]
Cu: 0.184 0.500 0.094 [2 per cell]
Cu: 0.293 0.000 0.915 [2 per cell]
Ag: 0.000 0.500 0.500 [1 per cell]
Ag: 0.404 0.500 0.719 [2 per cell]
Ag: 0.500 0.000 0.500 [1 per cell]

---

13.
Cu5Ag3: computed PXRD pattern (Cu Kα, 1.54184 Å), based on DFT lattice parameters and positions (GGA-PBE).
Kinematic intensities with the Lorentz-polarization factor, no thermal factor.

Top 8 peaks for 10 to 90 degrees two-theta, low angle first:
Position (°2θ)  I_rel  h k l
40.4  933  0 1 4
41.2  1000  1 1 0
45.3  662  1 0 4
51.6  266  0 2 0
67.1  121  2 0 0
71.0  317  1 2 4
79.9  166  1 1 8
81.3  216  2 1 4

Cell and atoms:
a b c (Å): 2.791 3.546 11.484
angles (deg): 90.00 90.00 90.00
Space group Pmm2 (No. 25)
Inequivalent atoms, fractional coordinates:
Cu: 0.000 0.000 0.000 [1 per cell]
Cu: 0.000 0.000 0.216 [1 per cell]
Cu: 0.000 0.000 0.740 [1 per cell]
Cu: 0.500 0.500 0.109 [1 per cell]
Cu: 0.500 0.500 0.634 [1 per cell]
Ag: 0.000 0.000 0.502 [1 per cell]
Ag: 0.500 0.500 0.347 [1 per cell]
Ag: 0.500 0.500 0.870 [1 per cell]